Entry 1:
Computed powder XRD pattern of KUAs2O8 for Cu Kα, 1.54184 Å, from a cell relaxed with GGA-PBE.
Intensities are scaled so that the largest is 1000.

The 8 most intense peaks (2θ from 15° to 90°), in order of rising 2θ:
- 2θ 17.9, d 4.954, I = 338
- 2θ 21.1, d 4.202, I = 1000
- 2θ 28.8, d 3.096, I = 673
- 2θ 31.3, d 2.860, I = 465
- 2θ 43.1, d 2.101, I = 285
- 2θ 50.1, d 1.822, I = 202
- 2θ 54.2, d 1.693, I = 231
- 2θ 56.5, d 1.630, I = 199

Crystal structure
a = 5.720 Å, b = 5.720 Å, c = 7.933 Å
α = 90.00°, β = 90.00°, γ = 120.00°
Fractional positions:
K1 0.000 0.000 0.000
U1 0.000 0.000 0.500
As1 0.333 0.667 0.249
As2 0.667 0.333 0.751
O1 0.172 0.345 0.338
O2 0.172 0.828 0.338
O3 0.333 0.667 0.040
O4 0.345 0.172 0.662
O5 0.655 0.828 0.338
O6 0.667 0.333 0.960
O7 0.828 0.172 0.662
O8 0.828 0.655 0.662

---

Entry 2:
Computed powder XRD pattern of Sr4Mg3Hg for Cu Kα, 1.54184 Å, from a cell relaxed with GGA-PBE.
Intensities are scaled so that the largest is 1000.

The 8 most intense peaks (2θ from 15° to 90°), in order of rising 2θ:
- 2θ 15.5, d 5.726, I = 127
- 2θ 22.5, d 3.945, I = 141
- 2θ 30.3, d 2.948, I = 1000
- 2θ 31.2, d 2.866, I = 484
- 2θ 44.7, d 2.027, I = 189
- 2θ 53.3, d 1.718, I = 198
- 2θ 55.0, d 1.670, I = 369
- 2θ 63.1, d 1.474, I = 135

Crystal structure
a = 4.053 Å, b = 4.053 Å, c = 17.178 Å
α = 90.00°, β = 90.00°, γ = 90.00°
Fractional positions:
Sr1 0.000 0.000 0.114
Sr2 0.000 0.000 0.372
Sr3 0.000 0.000 0.628
Sr4 0.000 0.000 0.886
Mg1 0.500 0.500 0.246
Mg2 0.500 0.500 0.500
Mg3 0.500 0.500 0.754
Hg1 0.500 0.500 0.000

---

Entry 3:
Computed powder XRD pattern of Pr2HgRuO8 for Cu Kα, 1.54184 Å, from a cell relaxed with GGA-PBE.
Intensities are scaled so that the largest is 1000.

The 8 most intense peaks (2θ from 15° to 90°), in order of rising 2θ:
- 2θ 25.3, d 3.525, I = 825
- 2θ 27.4, d 3.260, I = 445
- 2θ 28.7, d 3.109, I = 1000
- 2θ 30.8, d 2.902, I = 779
- 2θ 47.2, d 1.926, I = 198
- 2θ 48.0, d 1.894, I = 149
- 2θ 51.9, d 1.763, I = 183
- 2θ 54.3, d 1.690, I = 273

Crystal structure
a = 4.795 Å, b = 4.829 Å, c = 7.736 Å
α = 93.74°, β = 93.73°, γ = 94.22°
Fractional positions:
Pr1 0.061 0.058 0.253
Pr2 0.939 0.942 0.747
Hg1 0.500 0.500 0.000
Ru1 0.500 0.500 0.500
O1 0.195 0.193 0.981
O2 0.226 0.230 0.552
O3 0.246 0.613 0.323
O4 0.385 0.757 0.675
O5 0.615 0.243 0.325
O6 0.754 0.387 0.677
O7 0.774 0.770 0.448
O8 0.805 0.807 0.019

---

Entry 4:
Computed powder XRD pattern of Rh4PbSe8 for Cu Kα, 1.54184 Å, from a cell relaxed with GGA-PBE.
Intensities are scaled so that the largest is 1000.

The 8 most intense peaks (2θ from 15° to 90°), in order of rising 2θ:
- 2θ 16.2, d 5.458, I = 153
- 2θ 32.8, d 2.729, I = 1000
- 2θ 41.5, d 2.174, I = 181
- 2θ 45.0, d 2.013, I = 277
- 2θ 49.1, d 1.856, I = 360
- 2θ 56.8, d 1.622, I = 100
- 2θ 60.3, d 1.534, I = 170
- 2θ 81.4, d 1.183, I = 145

Crystal structure
a = 8.111 Å, b = 8.111 Å, c = 8.111 Å
α = 54.46°, β = 54.46°, γ = 54.46°
Fractional positions:
Rh1 0.000 0.000 0.000
Rh2 0.000 0.500 0.500
Rh3 0.500 0.000 0.500
Rh4 0.500 0.500 0.000
Pb1 0.500 0.500 0.500
Se1 0.232 0.232 0.726
Se2 0.232 0.726 0.232
Se3 0.269 0.269 0.269
Se4 0.274 0.768 0.768
Se5 0.726 0.232 0.232
Se6 0.731 0.731 0.731
Se7 0.768 0.274 0.768
Se8 0.768 0.768 0.274

---

Entry 5:
Computed powder XRD pattern of Tm5MgAl for Cu Kα, 1.54184 Å, from a cell relaxed with GGA-PBE.
Intensities are scaled so that the largest is 1000.

The 8 most intense peaks (2θ from 15° to 90°), in order of rising 2θ:
- 2θ 20.4, d 4.350, I = 215
- 2θ 26.0, d 3.425, I = 217
- 2θ 29.2, d 3.063, I = 422
- 2θ 31.9, d 2.806, I = 279
- 2θ 32.2, d 2.777, I = 525
- 2θ 33.2, d 2.700, I = 1000
- 2θ 34.9, d 2.573, I = 883
- 2θ 58.1, d 1.588, I = 204

Crystal structure
a = 8.741 Å, b = 8.741 Å, c = 5.554 Å
α = 90.00°, β = 90.00°, γ = 114.33°
Fractional positions:
Tm1 0.012 0.372 0.750
Tm2 0.208 0.792 0.750
Tm3 0.242 0.400 0.250
Tm4 0.372 0.012 0.250
Tm5 0.400 0.242 0.750
Tm6 0.600 0.758 0.250
Tm7 0.628 0.988 0.750
Tm8 0.758 0.600 0.750
Tm9 0.792 0.208 0.250
Tm10 0.988 0.628 0.250
Mg1 0.000 0.000 0.000
Mg2 0.000 0.000 0.500
Al1 0.410 0.590 0.750
Al2 0.590 0.410 0.250

---

Entry 6:
Computed powder XRD pattern of Tm2Mg13 for Cu Kα, 1.54184 Å, from a cell relaxed with GGA-PBE.
Intensities are scaled so that the largest is 1000.

The 8 most intense peaks (2θ from 15° to 90°), in order of rising 2θ:
- 2θ 22.3, d 3.985, I = 712
- 2θ 25.7, d 3.460, I = 1000
- 2θ 32.6, d 2.743, I = 543
- 2θ 34.2, d 2.624, I = 637
- 2θ 34.7, d 2.589, I = 645
- 2θ 41.3, d 2.185, I = 304
- 2θ 45.5, d 1.993, I = 247
- 2θ 47.3, d 1.920, I = 406

Crystal structure
a = 8.355 Å, b = 8.355 Å, c = 8.355 Å
α = 56.97°, β = 56.97°, γ = 56.97°
Fractional positions:
Tm1 0.157 0.157 0.157
Tm2 0.843 0.843 0.843
Mg1 0.000 0.000 0.000
Mg2 0.157 0.157 0.544
Mg3 0.157 0.544 0.157
Mg4 0.313 0.313 0.683
Mg5 0.313 0.683 0.313
Mg6 0.317 0.687 0.687
Mg7 0.456 0.843 0.843
Mg8 0.544 0.157 0.157
Mg9 0.683 0.313 0.313
Mg10 0.687 0.317 0.687
Mg11 0.687 0.687 0.317
Mg12 0.843 0.456 0.843
Mg13 0.843 0.843 0.456

---

Entry 7:
Computed powder XRD pattern of Pa4Te2AsP for Cu Kα, 1.54184 Å, from a cell relaxed with GGA-PBE.
Intensities are scaled so that the largest is 1000.

The 8 most intense peaks (2θ from 15° to 90°), in order of rising 2θ:
- 2θ 26.5, d 3.363, I = 260
- 2θ 30.2, d 2.957, I = 1000
- 2θ 42.2, d 2.142, I = 220
- 2θ 42.3, d 2.137, I = 107
- 2θ 44.2, d 2.048, I = 129
- 2θ 44.3, d 2.043, I = 248
- 2θ 54.5, d 1.683, I = 130
- 2θ 72.9, d 1.298, I = 105

Crystal structure
a = 7.070 Å, b = 4.095 Å, c = 7.548 Å
α = 90.00°, β = 108.32°, γ = 90.00°
Fractional positions:
Pa1 0.226 0.000 0.210
Pa2 0.250 0.500 0.784
Pa3 0.750 0.500 0.216
Pa4 0.774 0.000 0.790
Te1 0.000 0.000 0.500
Te2 0.500 0.500 0.500
As1 0.500 0.000 0.000
P1 0.000 0.500 0.000

---

Entry 8:
Computed powder XRD pattern of GdYMgIr for Cu Kα, 1.54184 Å, from a cell relaxed with GGA-PBE.
Intensities are scaled so that the largest is 1000.

The 8 most intense peaks (2θ from 15° to 90°), in order of rising 2θ:
- 2θ 21.5, d 4.127, I = 335
- 2θ 35.5, d 2.527, I = 1000
- 2θ 41.9, d 2.155, I = 186
- 2θ 51.1, d 1.787, I = 177
- 2θ 56.1, d 1.640, I = 81
- 2θ 63.8, d 1.459, I = 363
- 2θ 75.2, d 1.263, I = 112
- 2θ 86.0, d 1.130, I = 161

Crystal structure
a = 7.147 Å, b = 7.147 Å, c = 7.147 Å
α = 90.00°, β = 90.00°, γ = 90.00°
Fractional positions:
Gd1 0.000 0.000 0.000
Gd2 0.000 0.500 0.500
Gd3 0.500 0.000 0.500
Gd4 0.500 0.500 0.000
Y1 0.000 0.000 0.500
Y2 0.000 0.500 0.000
Y3 0.500 0.000 0.000
Y4 0.500 0.500 0.500
Mg1 0.250 0.250 0.250
Mg2 0.250 0.750 0.750
Mg3 0.750 0.250 0.750
Mg4 0.750 0.750 0.250
Ir1 0.250 0.250 0.750
Ir2 0.250 0.750 0.250
Ir3 0.750 0.250 0.250
Ir4 0.750 0.750 0.750